Starting from a DFT-relaxed cell (PBE, OQMD), the powder diffraction line list of Si17AgGe14 was computed for Cu Kα.

```
Si17AgGe14
1.0
5.5968 0.0000 0.0000
0.0000 3.9396 0.0000
-0.0642 0.0000 31.6565
Si Ag Ge
17 1 14
direct
0.0000 0.0000 0.0000
0.9999 0.0000 0.5002
0.0010 0.0000 0.7506
0.0066 0.0000 0.2504
0.2332 0.5000 0.2491
0.2394 0.5000 0.5016
0.2402 0.5000 0.7518
0.2431 0.5000 0.0006
0.2439 0.5000 0.3783
0.2512 0.5000 0.1243
0.4884 0.5000 0.0623
0.4900 0.5000 0.5618
0.4900 0.5000 0.8123
0.5003 0.5000 0.9405
0.7424 0.0000 0.9404
0.7466 0.0000 0.4402
0.7508 0.0000 0.6904
0.4830 0.5000 0.3132
0.0012 0.0000 0.1254
0.0010 0.0000 0.3785
0.2517 0.5000 0.6255
0.2547 0.5000 0.8768
0.4879 0.5000 0.1884
0.4967 0.5000 0.4399
0.5005 0.5000 0.6905
0.7404 0.0000 0.5617
0.7412 0.0000 0.0617
0.7416 0.0000 0.8119
0.7481 0.0000 0.1894
0.7606 0.0000 0.3127
0.9893 0.0000 0.6267
0.9894 0.0000 0.8772
```

Largest 12 diffraction maxima, low angle first, 10 to 90 degrees two-theta:
| two_theta | intensity |
| --- | --- |
| 11.2 | 14 |
| 27.6 | 83 |
| 27.7 | 85 |
| 45.9 | 100 |
| 46.1 | 20 |
| 54.4 | 37 |
| 54.5 | 23 |
| 54.6 | 12 |
| 67.0 | 13 |
| 73.9 | 12 |
| 85.0 | 16 |
| 85.2 | 13 |

=====

Starting from a DFT-relaxed cell (PBE, OQMD), the powder diffraction line list of Sr2SiAgGe2 was computed for Cu Kα.

```
Sr2SiAgGe2
1.0
0.0000 4.6397 7.4998
4.3354 0.0000 7.4998
4.3354 4.6397 0.0000
Sr Si Ag Ge
4 2 2 4
direct
0.2474 0.7526 0.2474
0.2500 0.2500 0.2500
0.7500 0.7500 0.7500
0.7526 0.2474 0.7526
0.1636 0.1636 0.8364
0.8364 0.8364 0.1636
0.3303 0.3303 0.6697
0.6697 0.6697 0.3303
0.1604 0.6734 0.8396
0.3266 0.8396 0.6734
0.6734 0.1604 0.3266
0.8396 0.3266 0.1604
```

Largest 12 diffraction maxima, low angle first, 10 to 90 degrees two-theta:
| two_theta | intensity |
| --- | --- |
| 19.1 | 7 |
| 22.7 | 10 |
| 30.6 | 100 |
| 38.8 | 18 |
| 41.7 | 45 |
| 52.6 | 21 |
| 58.3 | 32 |
| 65.3 | 11 |
| 69.3 | 13 |
| 76.1 | 7 |
| 80.5 | 6 |
| 88.9 | 10 |